(1)
Calculated powder XRD pattern
Compound: Tl2Cd12Hg
Radiation: Cu Kα (λ = 1.5418 Å)
Structure: a PBE-relaxed structure
Kinematic intensities with the Lorentz-polarization factor, no thermal factor.

Peak list (10 most intense, 2θ = 5–70°, low angle first)
- (1 1 4), 26.82°, I = 76
- (2 0 2), 30.78°, I = 94
- (2 0 3), 32.23°, I = 49
- (1 1 6), 32.93°, I = 26
- (2 0 4), 34.19°, I = 100
- (1 1 7), 36.41°, I = 76
- (2 0 6), 39.27°, I = 39
- (2 2 0), 42.30°, I = 84
- (3 1 4), 50.80°, I = 28
- (3 1 8), 59.70°, I = 35

Structure:
abc: 6.0428 6.0428 21.1586
angles: 90.00 90.00 90.00
Positions (direct):
Tl (0.2500, 0.7500, 0.2331)
Tl (0.2500, 0.7500, 0.7669)
Tl (0.7500, 0.2500, 0.2331)
Tl (0.7500, 0.2500, 0.7669)
Cd (0.0018, 0.5018, 0.3991)
Cd (0.0018, 0.9982, 0.6009)
Cd (0.0742, 0.5742, 0.9360)
Cd (0.0742, 0.9258, 0.0640)
Cd (0.2500, 0.2500, 0.1618)
Cd (0.2500, 0.2500, 0.2980)
Cd (0.2500, 0.2500, 0.7020)
Cd (0.2500, 0.2500, 0.8382)
Cd (0.4258, 0.5742, 0.0640)
Cd (0.4258, 0.9258, 0.9360)
Cd (0.4982, 0.5018, 0.6009)
Cd (0.4982, 0.9982, 0.3991)
Cd (0.5018, 0.0018, 0.6009)
Cd (0.5018, 0.4982, 0.3991)
Cd (0.5742, 0.0742, 0.0640)
Cd (0.5742, 0.4258, 0.9360)
Cd (0.7500, 0.7500, 0.1618)
Cd (0.7500, 0.7500, 0.2980)
Cd (0.7500, 0.7500, 0.7020)
Cd (0.7500, 0.7500, 0.8382)
Cd (0.9258, 0.0742, 0.9360)
Cd (0.9258, 0.4258, 0.0640)
Cd (0.9982, 0.0018, 0.3991)
Cd (0.9982, 0.4982, 0.6009)
Hg (0.2500, 0.7500, 0.5000)
Hg (0.7500, 0.2500, 0.5000)

(2)
Calculated powder XRD pattern
Compound: Ag2WCl
Radiation: Cu Kα (λ = 1.5418 Å)
Structure: a PBE-relaxed structure
Kinematic intensities with the Lorentz-polarization factor, no thermal factor.

Peak list (10 most intense, 2θ = 5–70°, low angle first)
- (0 0 1), 10.67°, I = 50
- (0 0 3), 32.39°, I = 4
- (1 0 1), 32.55°, I = 16
- (1 0 2), 37.72°, I = 100
- (0 0 4), 43.66°, I = 16
- (1 1 0), 43.92°, I = 32
- (1 0 3), 45.20°, I = 7
- (1 1 1), 45.33°, I = 7
- (1 1 4), 63.65°, I = 21
- (2 0 0), 63.85°, I = 10

Structure:
abc: 2.9156 2.9156 8.2929
angles: 90.00 90.00 90.00
Positions (direct):
Ag (0.0000, 0.0000, 0.2497)
Ag (0.0000, 0.0000, 0.7503)
W (0.5000, 0.5000, 0.0000)
Cl (0.5000, 0.5000, 0.5000)

(3)
Calculated powder XRD pattern
Compound: Mg2Ru
Radiation: Cu Kα (λ = 1.5418 Å)
Structure: a PBE-relaxed structure
Kinematic intensities with the Lorentz-polarization factor, no thermal factor.

Peak list (10 most intense, 2θ = 5–70°, low angle first)
- (1 0 0), 19.11°, I = 100
- (1 1 0), 27.15°, I = 10
- (1 0 1), 37.11°, I = 36
- (2 0 0), 38.77°, I = 36
- (1 1 1), 42.06°, I = 57
- (2 1 0), 43.57°, I = 23
- (2 1 1), 54.75°, I = 23
- (2 2 0), 55.99°, I = 12
- (0 0 2), 65.74°, I = 5
- (3 0 1), 69.14°, I = 11

Structure:
abc: 4.6454 4.6454 2.8398
angles: 90.00 90.00 90.00
Positions (direct):
Mg (0.0000, 0.5000, 0.0000)
Mg (0.5000, 0.0000, 0.0000)
Ru (0.0000, 0.0000, 0.5000)